[1]
Cd4Te2SeS: simulated powder diffractogram (Cu Kα X-rays), based on a crystal structure in Alexandria, relaxed with GGA-PBE.
No peak broadening, texture or thermal motion is included.

Top 6 peaks for 2θ = 10–80°, in order of rising 2θ:
- 3.657 Å, intensity 100, hkl 1 1 2
- 2.240 Å, intensity 75, hkl 2 2 0
- 1.910 Å, intensity 45, hkl 3 1 2
- 1.453 Å, intensity 17, hkl 3 3 2
- 1.293 Å, intensity 23, hkl 4 2 4
- 1.220 Å, intensity 10, hkl 5 1 2

Atomic structure:
Cell lengths 6.338, 6.338, 12.655 Å; angles 90.00, 90.00, 90.00 degrees
Space group I-42m (No. 121)
Symmetry-distinct sites (fractional):
Cd1 0.243 0.243 0.114 x8
Te1 0.000 0.500 0.250 x4
Se1 0.000 0.000 0.500 x2
S1 0.000 0.000 0.000 x2

[2]
Ac2CuHg2Pd4: simulated powder diffractogram (Cu Kα X-rays), based on a crystal structure in Alexandria, relaxed with GGA-PBE.
No peak broadening, texture or thermal motion is included.

Top 6 peaks for 2θ = 10–80°, in order of rising 2θ:
- 3.380 Å, intensity 16, hkl 2 0 0
- 2.686 Å, intensity 100, hkl 2 0 2
- 2.390 Å, intensity 48, hkl 2 2 0
- 1.690 Å, intensity 16, hkl 4 0 0
- 1.624 Å, intensity 21, hkl 2 2 4
- 1.430 Å, intensity 27, hkl 4 2 2

Atomic structure:
Cell lengths 6.759, 6.759, 8.855 Å; angles 90.00, 90.00, 90.00 degrees
Space group I4/mmm (No. 139)
Symmetry-distinct sites (fractional):
Ac1 0.000 0.500 0.250 x4
Cu1 0.000 0.000 0.000 x2
Hg1 0.000 0.000 0.291 x4
Pd1 0.230 0.230 0.500 x8

[3]
Pm5Dy2Mg: simulated powder diffractogram (Cu Kα X-rays), based on a crystal structure in Alexandria, relaxed with GGA-PBE.
No peak broadening, texture or thermal motion is included.

Top 6 peaks for 2θ = 10–80°, in order of rising 2θ:
- 3.136 Å, intensity 25, hkl 2 0 2
- 2.860 Å, intensity 24, hkl 0 4 0
- 2.750 Å, intensity 100, hkl 0 2 4
- 1.811 Å, intensity 19, hkl 4 0 0
- 1.629 Å, intensity 20, hkl 0 6 4
- 1.530 Å, intensity 22, hkl 4 4 0

Atomic structure:
Cell lengths 7.239, 11.442, 12.549 Å; angles 90.00, 90.00, 90.00 degrees
Space group Fmm2 (No. 42)
Symmetry-distinct sites (fractional):
Pm1 0.000 0.000 0.000 x4
Pm2 0.240 0.000 0.241 x8
Pm3 0.250 0.250 0.410 x8
Dy1 0.000 0.242 0.658 x8
Mg1 0.000 0.000 0.494 x4

[4]
Ce2ThGa2Au2: simulated powder diffractogram (Cu Kα X-rays), based on a crystal structure in Alexandria, relaxed with GGA-PBE.
No peak broadening, texture or thermal motion is included.

Top 6 peaks for 2θ = 10–80°, in order of rising 2θ:
- 3.174 Å, intensity 59, hkl 0 1 5
- 2.767 Å, intensity 86, hkl 1 0 7
- 2.580 Å, intensity 53, hkl 0 1 8
- 2.237 Å, intensity 100, hkl 1 1 0
- 1.739 Å, intensity 22, hkl 0 2 7
- 1.423 Å, intensity 37, hkl 1 1 15

Atomic structure:
Cell lengths 4.4738, 4.4738, 27.6651 Å; angles 90.00, 90.00, 120.00 degrees
Space group R-3m (No. 166, hexagonal axes)
Symmetry-distinct sites (fractional):
Ce1 0.0000 0.0000 0.1406 x6
Th1 0.0000 0.0000 0.0000 x3
Ga1 0.0000 0.0000 0.2578 x6
Au1 0.0000 0.0000 0.4029 x6

[5]
Cd8Ag4Bi: simulated powder diffractogram (Cu Kα X-rays), based on a crystal structure in Alexandria, relaxed with GGA-PBE.
No peak broadening, texture or thermal motion is included.

Top 6 peaks for 2θ = 10–80°, in order of rising 2θ:
- 2.869 Å, intensity 28, hkl 0 0 2
- 2.484 Å, intensity 100, hkl 4 0 0
- 2.222 Å, intensity 37, hkl 2 2 2
- 1.573 Å, intensity 10, hkl 3 2 3
- 1.433 Å, intensity 23, hkl 6 0 2
- 1.241 Å, intensity 9, hkl 8 0 0

Atomic structure:
Cell lengths 9.925, 9.925, 5.748 Å; angles 90.00, 90.00, 90.00 degrees
Space group I4/mmm (No. 139)
Symmetry-distinct sites (fractional):
Cd1 0.000 0.218 0.000 x8
Cd2 0.000 0.346 0.500 x8
Ag1 0.250 0.250 0.250 x8
Bi1 0.000 0.000 0.500 x2

[6]
Ac2MnCu2S6: simulated powder diffractogram (Cu Kα X-rays), based on a crystal structure in Alexandria, relaxed with GGA-PBE.
No peak broadening, texture or thermal motion is included.

Top 6 peaks for 2θ = 10–80°, in order of rising 2θ:
- 4.910 Å, intensity 34, hkl 0 1 2
- 3.435 Å, intensity 100, hkl 1 1 0
- 3.002 Å, intensity 44, hkl 0 1 5
- 2.815 Å, intensity 44, hkl 2 0 2
- 2.455 Å, intensity 35, hkl 0 2 4
- 1.889 Å, intensity 31, hkl 1 2 5

Atomic structure:
Cell lengths 6.8708, 6.8708, 17.3885 Å; angles 90.00, 90.00, 120.00 degrees
Space group R-3m (No. 166, hexagonal axes)
Symmetry-distinct sites (fractional):
Ac1 0.0000 0.0000 0.2260 x6
Mn1 0.0000 0.0000 0.0000 x3
Cu1 0.0000 0.0000 0.4150 x6
S1 0.0316 0.5158 0.7531 x18